The following is a simulated X-ray powder pattern of Li2MgSi. It was derived from a structure optimized by DFT (PBE), using Cu Kα.

Atomic structure:
Lattice parameters (Å, degrees): 12.708 12.708 12.708 90.00 90.00 90.00
Space group Fm-3m (No. 225)
One atom of each set of equivalent atoms:
Li1 0.000 0.000 0.219
Li2 0.126 0.126 0.126
Li3 0.250 0.250 0.250
Mg1 0.126 0.126 0.374
Si1 0.000 0.000 0.000
Si2 0.000 0.000 0.500
Si3 0.000 0.250 0.250

Largest 6 diffraction maxima, in order of rising 2θ, 15 to 90 degrees two-theta:
2θ 23.2, rel. 11.0
2θ 24.3, rel. 39.1
2θ 40.1, rel. 100.0
2θ 47.5, rel. 17.3
2θ 58.1, rel. 16.1
2θ 72.9, rel. 31.2